Entry 1:
For LaP12Os4, a cell relaxed with GGA-PBE gives the theoretical X-ray powder pattern in this record (λ = 1.5418 Å (Cu Kα)).
Lines closer than 0.1° are merged.

Top 10 peaks for 2θ = 10–90°, by angle:
2θ/deg	intensity	hkl
21.83	49	2 0 0
31.07	100	2 2 0
34.85	17	3 0 1
38.29	19	2 2 2
41.50	11	3 1 2
44.51	17	4 0 0
50.10	40	4 0 2
55.27	51	4 2 2
64.77	11	4 4 0
73.57	21	6 2 0

Structural model:
Lattice parameters (Å, degrees): 8.1421 8.1421 8.1421 90.00 90.00 90.00
Space group Im-3 (No. 204)
Asymmetric unit:
La 0.0000 0.0000 0.0000
P 0.0000 0.3576 0.1438
Os 0.2500 0.2500 0.2500

***

Entry 2:
For K2AgAuCl6, a cell relaxed with GGA-PBE gives the theoretical X-ray powder pattern in this record (λ = 1.5418 Å (Cu Kα)).
Lines closer than 0.1° are merged.

Top 10 peaks for 2θ = 10–90°, by angle:
2θ/deg	intensity	hkl
17.26	100	2 0 0
24.51	99	2 2 0
34.93	72	4 0 0
39.22	51	4 2 0
43.14	45	4 2 2
50.24	47	4 4 0
53.52	26	6 0 0
56.67	20	6 2 0
68.33	22	6 4 2
84.32	20	8 4 0

Structural model:
Lattice parameters (Å, degrees): 10.2734 10.2734 10.2734 90.00 90.00 90.00
Space group Fm-3m (No. 225)
Asymmetric unit:
K 0.2500 0.2500 0.2500
Ag 0.0000 0.0000 0.0000
Au 0.0000 0.0000 0.5000
Cl 0.0000 0.0000 0.2523

***

Entry 3:
For CeAgP2, a cell relaxed with GGA-PBE gives the theoretical X-ray powder pattern in this record (λ = 1.5418 Å (Cu Kα)).
Lines closer than 0.1° are merged.

Top 10 peaks for 2θ = 10–90°, by angle:
2θ/deg	intensity	hkl
25.04	38	0 2 1
25.97	64	2 0 -2
28.78	38	0 2 2
30.49	100	1 1 3
33.10	70	2 2 -1
35.30	27	1 1 -4
35.87	39	3 1 0
37.79	51	3 1 1
38.85	54	1 3 1
41.32	27	3 1 2

Structural model:
Lattice parameters (Å, degrees): 8.0246 7.5177 11.0751 90.00 97.05 90.00
Space group C2/c (No. 15)
Asymmetric unit:
Ce 0.2121 0.1020 0.1592
Ag 0.0859 0.2776 0.5390
P 0.0526 0.4343 0.1620
P 0.1396 0.0394 0.9032

***

Entry 4:
For Na5Li3Ti2S8, a cell relaxed with GGA-PBE gives the theoretical X-ray powder pattern in this record (λ = 1.5418 Å (Cu Kα)).
Lines closer than 0.1° are merged.

Top 10 peaks for 2θ = 10–90°, by angle:
2θ/deg	intensity	hkl
18.08	80	3 1 -1
23.44	43	2 2 -2
27.29	49	4 2 -2
27.73	100	4 0 0
29.34	87	4 0 -4
31.45	42	2 0 2
37.03	53	0 4 0
40.22	42	5 3 -1
40.80	60	0 0 4
46.68	44	5 3 -5

Structural model:
Lattice parameters (Å, degrees): 17.7069 9.7097 12.1768 90.00 133.40 90.00
Space group C2/c (No. 15)
Asymmetric unit:
Na 0.0000 0.0081 0.2500
Na 0.0997 0.4865 0.2345
Na 0.1464 0.2459 0.0160
Li 0.1927 0.0012 0.2582
Li 0.2500 0.2500 0.5000
Ti 0.0837 0.2352 0.5323
S 0.0858 0.2039 0.1767
S 0.1143 0.2194 0.7478
S 0.1291 0.4456 0.5081
S 0.1787 0.0631 0.5497

***

Entry 5:
For NaSrPrNbO6, a cell relaxed with GGA-PBE gives the theoretical X-ray powder pattern in this record (λ = 1.5418 Å (Cu Kα)).
Lines closer than 0.1° are merged.

Top 10 peaks for 2θ = 10–90°, by angle:
2θ/deg	intensity	hkl
20.86	27	0 2 0
29.66	100	2 0 2
42.42	20	0 4 0
42.49	10	4 0 0
47.74	9	4 0 2
52.64	47	2 2 4
61.59	17	4 4 0
69.88	12	6 0 2
85.21	11	2 4 6
85.31	11	6 4 2

Structural model:
Lattice parameters (Å, degrees): 8.5093 8.5153 8.5308 90.00 90.00 90.00
Space group Pnnn (No. 48, origin choice 2)
Asymmetric unit:
Na 0.2500 0.2500 0.2500
Na 0.2500 0.7500 0.7500
Sr 0.2500 0.2500 0.7500
Sr 0.2500 0.7500 0.2500
Pr 0.0000 0.0000 0.0000
Nb 0.0000 0.0000 0.5000
O 0.0348 0.2302 0.5491
O 0.0521 0.5418 0.7729
O 0.2283 0.5266 0.0567

***

Entry 6:
For CeSe2, a cell relaxed with GGA-PBE gives the theoretical X-ray powder pattern in this record (λ = 1.5418 Å (Cu Kα)).
Lines closer than 0.1° are merged.

Top 10 peaks for 2θ = 10–90°, by angle:
2θ/deg	intensity	hkl
17.19	78	1 1 0
21.14	100	1 1 1
27.87	43	1 0 2
29.00	76	1 2 1
36.09	52	2 0 2
36.81	27	1 3 0
36.99	89	2 2 1
41.30	31	1 1 3
43.10	34	3 1 1
44.06	55	0 2 3

Structural model:
Lattice parameters (Å, degrees): 6.8520 7.8395 7.2411 90.00 90.00 90.00
Space group Pbcn (No. 60)
Asymmetric unit:
Ce 0.0000 0.1562 0.2500
Se 0.2163 0.1170 0.5840

***

Entry 7:
For MgSc2S4, a cell relaxed with GGA-PBE gives the theoretical X-ray powder pattern in this record (λ = 1.5418 Å (Cu Kα)).
Lines closer than 0.1° are merged.

Top 10 peaks for 2θ = 10–90°, by angle:
2θ/deg	intensity	hkl
34.85	44	1 0 3
35.56	100	3 1 0
41.76	28	2 1 3
42.12	17	3 1 2
42.33	20	3 2 1
53.38	14	3 2 3
56.29	10	4 2 2
58.16	13	3 1 4
58.55	10	4 1 3
59.00	12	4 3 1

Structural model:
Lattice parameters (Å, degrees): 7.9763 7.9763 8.1598 90.00 90.00 90.00
Space group I-42d (No. 122)
Asymmetric unit:
Mg 0.0000 0.0000 0.0000
Sc 0.1319 0.2500 0.6250
S 0.0595 0.1982 0.3238

***

Entry 8:
For Na3CuO2, a cell relaxed with GGA-PBE gives the theoretical X-ray powder pattern in this record (λ = 1.5418 Å (Cu Kα)).
Lines closer than 0.1° are merged.

Top 10 peaks for 2θ = 10–90°, by angle:
2θ/deg	intensity	hkl
20.88	42	2 1 0
21.48	63	1 0 1
23.45	29	1 1 1
34.37	100	3 0 1
39.21	41	0 0 2
40.23	65	3 3 0
57.43	40	3 3 2
58.20	16	6 0 0
69.37	27	6 3 1
72.44	16	6 0 2

Structural model:
Lattice parameters (Å, degrees): 9.5110 9.5110 4.5947 90.00 90.00 90.00
Space group P4_2/mnm (No. 136)
Asymmetric unit:
Na 0.0138 0.3440 0.0000
Na 0.1582 0.8418 0.5000
Cu 0.1666 0.1666 0.5000
O 0.0301 0.3005 0.5000